Entry 1:
Structure and simulated X-ray powder pattern of La2GdSn5Pb2 (a cell relaxed with GGA-PBE; CuKα).

Structure:
```
10
Lattice="2.286 -13.154 0.000 2.286 13.154 0.000 0.000 0.000 4.764" Properties=species:S:1:pos:R:3 pbc="T T T"
La 2.286 8.272 0.000
La 2.286 -8.272 0.000
Gd 0.000 0.000 0.000
Sn 2.286 5.564 2.382
Sn 2.286 2.415 0.000
Sn 2.286 0.000 2.382
Sn 2.286 -2.415 0.000
Sn 2.286 -5.564 2.382
Pb 2.286 10.660 2.382
Pb 2.286 -10.660 2.382
```

Largest 6 diffraction maxima, by angle, 10° ≤ 2θ ≤ 90°:
2θ (°)  I/Imax
32.0  100
34.1  17
37.8  17
39.4  16
64.6  14
66.8  16

Entry 2:
Structure and simulated X-ray powder pattern of La2GdSn3Pb4 (a cell relaxed with GGA-PBE; CuKα).

Structure:
```
10
Lattice="2.360 -13.049 0.000 2.360 13.049 0.000 0.000 0.000 4.725" Properties=species:S:1:pos:R:3 pbc="T T T"
La 2.360 8.239 0.000
La 2.360 -8.239 0.000
Gd 0.000 0.000 0.000
Sn 2.360 10.633 2.363
Sn 2.360 0.000 2.363
Sn 2.360 -10.633 2.363
Pb 2.360 5.414 2.363
Pb 2.360 2.425 0.000
Pb 2.360 -2.425 0.000
Pb 2.360 -5.414 2.363
```

Largest 6 diffraction maxima, by angle, 10° ≤ 2θ ≤ 90°:
2θ (°)  I/Imax
31.8  100
34.4  16
38.1  33
52.2  20
55.0  12
65.0  27